# 1
This entry pairs a crystal structure of FeCu3P4O16 with its theoretical powder XRD pattern. Radiation: Cu Kα (λ = 1.5418 Å). Structure: a crystal structure in the Materials Project, relaxed with PBE+U.

Cell and atoms:
Lattice parameters (Å, degrees): 5.0874 6.0118 9.9418 90.00 92.04 90.00
Space group Pm (No. 6)
Symmetry-distinct sites (fractional):
Fe (0.0000, 0.0000, 0.0000)
Cu (0.1702, 0.5000, 0.5939)
Cu (0.4131, 0.5000, 0.0923)
Cu (0.6802, 0.0000, 0.4792)
P (0.1359, 0.0000, 0.6815)
P (0.4826, 0.0000, 0.1825)
P (0.6121, 0.5000, 0.3951)
P (0.9718, 0.5000, 0.8898)
O (0.1906, 0.0000, 0.8341)
O (0.2760, 0.5000, 0.9175)
O (0.2776, 0.2011, 0.6158)
O (0.3142, 0.5000, 0.4209)
O (0.3173, 0.1930, 0.1113)
O (0.4373, 0.0000, 0.3354)
O (0.6451, 0.5000, 0.2402)
O (0.7672, 0.3019, 0.4608)
O (0.7735, 0.0000, 0.1553)
O (0.8342, 0.0000, 0.6538)
O (0.8401, 0.2931, 0.9512)
O (0.9340, 0.5000, 0.7333)

Peak list (8 most intense, 2θ = 15–90°, by intensity)
| 2theta | intensity |
| --- | --- |
| 19.33 | 100 |
| 29.72 | 88 |
| 17.85 | 74 |
| 19.90 | 52 |
| 36.09 | 42 |
| 24.61 | 34 |
| 24.85 | 34 |
| 35.70 | 32 |


# 2
This entry pairs a crystal structure of Fe2CuP4O14 with its theoretical powder XRD pattern. Radiation: Cu Kα (λ = 1.5418 Å). Structure: a crystal structure in the Materials Project, relaxed with PBE+U.

Cell and atoms:
Lattice parameters (Å, degrees): 6.7024 5.2568 17.0020 90.00 111.03 90.00
Space group P2_1/c (No. 14)
Symmetry-distinct sites (fractional):
Fe (0.2170, 0.2481, 0.3801)
Cu (0.0000, 0.0000, 0.5000)
P (0.1143, 0.2472, 0.1681)
P (0.4491, 0.2300, 0.0943)
O (0.0139, 0.5233, 0.3804)
O (0.0324, 0.5014, 0.1182)
O (0.1304, 0.2226, 0.7580)
O (0.2561, 0.2039, 0.5119)
O (0.3553, 0.2223, 0.1696)
O (0.3801, 0.5675, 0.8825)
O (0.4720, 0.0377, 0.9115)

Peak list (8 most intense, 2θ = 15–90°, by intensity)
| 2theta | intensity |
| --- | --- |
| 22.09 | 100 |
| 31.66 | 53 |
| 22.40 | 32 |
| 45.05 | 13 |
| 24.03 | 11 |
| 21.49 | 10 |
| 17.77 | 10 |
| 35.24 | 10 |


# 3
This entry pairs a crystal structure of Fe3CuP4O16 with its theoretical powder XRD pattern. Radiation: Cu Kα (λ = 1.5418 Å). Structure: a crystal structure in the Materials Project, relaxed with PBE+U.

Cell and atoms:
Lattice parameters (Å, degrees): 4.8507 5.9108 9.9190 90.00 90.03 90.00
Space group Pm (No. 6)
Symmetry-distinct sites (fractional):
Fe (0.0000, 0.0000, 0.0000)
Fe (0.0597, 0.5000, 0.4549)
Fe (0.4965, 0.5000, 0.9533)
Cu (0.5736, 0.0000, 0.5032)
P (0.1056, 0.0000, 0.3254)
P (0.4483, 0.0000, 0.8195)
P (0.6118, 0.5000, 0.6301)
P (0.9476, 0.5000, 0.1315)
O (0.1815, 0.0000, 0.1751)
O (0.2474, 0.2039, 0.4001)
O (0.2595, 0.5000, 0.1108)
O (0.3000, 0.5000, 0.6105)
O (0.3039, 0.2023, 0.8976)
O (0.3679, 0.0000, 0.6713)
O (0.6825, 0.5000, 0.7805)
O (0.7603, 0.0000, 0.8428)
O (0.7625, 0.2993, 0.5551)
O (0.7911, 0.0000, 0.3388)
O (0.8029, 0.2973, 0.0561)
O (0.8743, 0.5000, 0.2813)

Peak list (8 most intense, 2θ = 15–90°, by intensity)
| 2theta | intensity |
| --- | --- |
| 36.22 | 100 |
| 25.39 | 94 |
| 20.38 | 88 |
| 30.24 | 74 |
| 17.89 | 73 |
| 52.16 | 42 |
| 36.74 | 27 |
| 57.69 | 25 |


# 4
This entry pairs a crystal structure of RbFeCuP2O8 with its theoretical powder XRD pattern. Radiation: Cu Kα (λ = 1.5418 Å). Structure: a crystal structure in the Materials Project, relaxed with PBE+U.

Cell and atoms:
Lattice parameters (Å, degrees): 8.2682 10.0507 9.3342 90.00 116.78 90.00
Space group P2_1/c (No. 14)
Symmetry-distinct sites (fractional):
Rb (0.1584, 0.1337, 0.0759)
Fe (0.2270, 0.6238, 0.2454)
Cu (0.4255, 0.1184, 0.5586)
P (0.1223, 0.5887, 0.8593)
P (0.4942, 0.1593, 0.8618)
O (0.0304, 0.5091, 0.2446)
O (0.1032, 0.7098, 0.7513)
O (0.1074, 0.6317, 0.0112)
O (0.3105, 0.5225, 0.9042)
O (0.3419, 0.6111, 0.4866)
O (0.3590, 0.2391, 0.8986)
O (0.3937, 0.0385, 0.7467)
O (0.4497, 0.7423, 0.7533)

Peak list (8 most intense, 2θ = 15–90°, by intensity)
| 2theta | intensity |
| --- | --- |
| 27.95 | 100 |
| 30.16 | 20 |
| 26.29 | 20 |
| 30.33 | 18 |
| 35.73 | 13 |
| 33.97 | 13 |
| 34.35 | 11 |
| 43.79 | 11 |


# 5
This entry pairs a crystal structure of Fe3Cu2SbP6O24 with its theoretical powder XRD pattern. Radiation: Cu Kα (λ = 1.5418 Å). Structure: a crystal structure in the Materials Project, relaxed with PBE+U.

Cell and atoms:
Lattice parameters (Å, degrees): 8.6439 8.6439 21.1181 90.00 90.00 120.00
Space group R3 (No. 146, hexagonal axes)
Symmetry-distinct sites (fractional):
Fe (0.0000, 0.0000, 0.0000)
Fe (0.0000, 0.0000, 0.2100)
Fe (0.0000, 0.0000, 0.7114)
Cu (0.0000, 0.0000, 0.3479)
Cu (0.0000, 0.0000, 0.8551)
Sb (0.0000, 0.0000, 0.4980)
P (0.0021, 0.7050, 0.6063)
P (0.0432, 0.3728, 0.7728)
O (0.0022, 0.1975, 0.1664)
O (0.0017, 0.8081, 0.6643)
O (0.0040, 0.1996, 0.0456)
O (0.0041, 0.8037, 0.5434)
O (0.0164, 0.1820, 0.7779)
O (0.0192, 0.8344, 0.2762)
O (0.1711, 0.4849, 0.1006)
O (0.1714, 0.6882, 0.5994)

Peak list (8 most intense, 2θ = 15–90°, by intensity)
| 2theta | intensity |
| --- | --- |
| 20.56 | 100 |
| 24.16 | 67 |
| 32.81 | 67 |
| 36.00 | 42 |
| 56.34 | 36 |
| 47.08 | 27 |
| 49.49 | 24 |
| 62.71 | 20 |


# 6
This entry pairs a crystal structure of Fe3Cu2SnP6O24 with its theoretical powder XRD pattern. Radiation: Cu Kα (λ = 1.5418 Å). Structure: a crystal structure in the Materials Project, relaxed with PBE+U.

Cell and atoms:
Lattice parameters (Å, degrees): 8.6575 8.6575 21.0875 90.00 90.00 120.00
Space group R3 (No. 146, hexagonal axes)
Symmetry-distinct sites (fractional):
Fe (0.0000, 0.0000, 0.0000)
Fe (0.0000, 0.0000, 0.2104)
Fe (0.0000, 0.0000, 0.7112)
Cu (0.0000, 0.0000, 0.3511)
Cu (0.0000, 0.0000, 0.8556)
Sn (0.0000, 0.0000, 0.4989)
P (0.0004, 0.7031, 0.6065)
P (0.0431, 0.3726, 0.7722)
O (0.0002, 0.1968, 0.1658)
O (0.9995, 0.8041, 0.6654)
O (0.0012, 0.7971, 0.5448)
O (0.0174, 0.8362, 0.2780)
O (0.0205, 0.1825, 0.7782)
O (0.1390, 0.4689, 0.7119)
O (0.1677, 0.4815, 0.0984)
O (0.1695, 0.6839, 0.6001)

Peak list (8 most intense, 2θ = 15–90°, by intensity)
| 2theta | intensity |
| --- | --- |
| 20.53 | 100 |
| 24.14 | 67 |
| 32.82 | 64 |
| 35.94 | 40 |
| 47.08 | 26 |
| 49.45 | 26 |
| 56.23 | 25 |
| 62.63 | 20 |


# 7
This entry pairs a crystal structure of Ti3Fe2CuP6O24 with its theoretical powder XRD pattern. Radiation: Cu Kα (λ = 1.5418 Å). Structure: a crystal structure in the Materials Project, relaxed with PBE+U.

Cell and atoms:
Lattice parameters (Å, degrees): 8.6825 8.6825 20.7039 90.00 90.00 120.00
Space group R3 (No. 146, hexagonal axes)
Symmetry-distinct sites (fractional):
Ti (0.0000, 0.0000, 0.0000)
Ti (0.0000, 0.0000, 0.2131)
Ti (0.0000, 0.0000, 0.7101)
Fe (0.0000, 0.0000, 0.3590)
Fe (0.0000, 0.0000, 0.8565)
Cu (0.0000, 0.0000, 0.5005)
P (0.9996, 0.2939, 0.6036)
P (0.0399, 0.6674, 0.7721)
O (0.9998, 0.2050, 0.5419)
O (0.0029, 0.1895, 0.6647)
O (0.0038, 0.8129, 0.1663)
O (0.0174, 0.1827, 0.2802)
O (0.0234, 0.8378, 0.7796)
O (0.1555, 0.6840, 0.7127)
O (0.1635, 0.6883, 0.0949)
O (0.1651, 0.4867, 0.6015)

Peak list (8 most intense, 2θ = 15–90°, by intensity)
| 2theta | intensity |
| --- | --- |
| 24.22 | 100 |
| 20.46 | 76 |
| 33.16 | 68 |
| 35.83 | 35 |
| 47.52 | 28 |
| 49.62 | 25 |
| 56.05 | 22 |
| 62.70 | 18 |


# 8
This entry pairs a crystal structure of Ti3FeCu2P6O24 with its theoretical powder XRD pattern. Radiation: Cu Kα (λ = 1.5418 Å). Structure: a crystal structure in the Materials Project, relaxed with PBE+U.

Cell and atoms:
Lattice parameters (Å, degrees): 8.6281 8.6281 21.0937 90.00 90.00 120.00
Space group R3 (No. 146, hexagonal axes)
Symmetry-distinct sites (fractional):
Ti (0.0000, 0.0000, 0.0000)
Ti (0.0000, 0.0000, 0.2139)
Ti (0.0000, 0.0000, 0.5007)
Fe (0.0000, 0.0000, 0.7135)
Cu (0.0000, 0.0000, 0.3569)
Cu (0.0000, 0.0000, 0.8553)
P (0.0006, 0.2921, 0.6078)
P (0.0414, 0.6677, 0.7740)
O (0.0010, 0.8123, 0.0475)
O (0.0022, 0.1887, 0.5477)
O (0.0029, 0.8143, 0.1665)
O (0.0188, 0.1846, 0.2758)
O (0.0236, 0.8355, 0.7794)
O (0.1395, 0.4700, 0.3344)
O (0.1697, 0.4814, 0.6028)
O (0.1703, 0.6907, 0.1034)

Peak list (8 most intense, 2θ = 15–90°, by intensity)
| 2theta | intensity |
| --- | --- |
| 24.20 | 100 |
| 20.59 | 88 |
| 32.86 | 84 |
| 56.45 | 39 |
| 36.06 | 37 |
| 47.16 | 32 |
| 49.58 | 28 |
| 25.29 | 21 |


- What is the formula in the third record?
  Fe3CuP4O16